For NaLaV4O12, a crystal structure in Alexandria, relaxed with PBE+U gives the theoretical powder XRD pattern in this record (CuKα).

Structural model:
a = 7.281 Å, b = 6.204 Å, c = 6.204 Å
α = 67.22°, β = 90.00°, γ = 90.00°
Element x y z (fractional)
Na  0.000  0.000  0.000
La  0.500  0.541  0.541
V  0.250  0.022  0.512
V  0.250  0.512  0.022
V  0.750  0.022  0.512
V  0.750  0.512  0.022
O  0.000  0.000  0.559
O  0.000  0.559  0.000
O  0.210  0.198  0.198
O  0.257  0.697  0.697
O  0.294  0.188  0.664
O  0.294  0.664  0.188
O  0.500  0.438  0.975
O  0.500  0.975  0.438
O  0.706  0.188  0.664
O  0.706  0.664  0.188
O  0.743  0.697  0.697
O  0.790  0.198  0.198

Top 8 peaks for 15° ≤ 2θ ≤ 90°, sorted by position:
Position (°2θ), I/Imax
15.49, 41.4
19.74, 100.0
21.09, 30.2
29.05, 26.8
30.03, 66.5
31.28, 77.6
35.95, 34.0
60.28, 27.6